This entry pairs a crystal structure of Ac3Sb4Pt3 with its theoretical powder diffraction line list. Radiation: copper Kα. Structure: a crystal structure in Alexandria, relaxed with GGA-PBE.
Peak positions follow from Bragg's law for the DFT cell and can differ from measured ones.

a b c (Å): 8.916 8.916 8.916
angles (deg): 109.47 109.47 109.47
Sites, in units of the cell vectors:
Ac (0.125, 0.875, 0.250)
Ac (0.250, 0.125, 0.875)
Ac (0.375, 0.625, 0.750)
Ac (0.625, 0.750, 0.375)
Ac (0.750, 0.375, 0.625)
Ac (0.875, 0.250, 0.125)
Sb (0.000, 0.162, 0.500)
Sb (0.000, 0.662, 0.500)
Sb (0.162, 0.500, 0.000)
Sb (0.338, 0.338, 0.338)
Sb (0.500, 0.000, 0.162)
Sb (0.500, 0.000, 0.662)
Sb (0.662, 0.500, 0.000)
Sb (0.838, 0.838, 0.838)
Pt (0.125, 0.750, 0.875)
Pt (0.250, 0.625, 0.375)
Pt (0.375, 0.250, 0.625)
Pt (0.625, 0.375, 0.250)
Pt (0.750, 0.875, 0.125)
Pt (0.875, 0.125, 0.750)

The 10 most intense peaks (10° ≤ 2θ ≤ 90°), by angle:
2theta, I_rel
21.14, 24
27.39, 14
32.54, 100
39.13, 58
41.12, 14
43.04, 15
48.42, 15
54.98, 13
65.36, 13
66.77, 17